Record 1
Theoretical X-ray powder pattern
Compound: Er4Zr3O12
Radiation: Cu Kα X-rays
Structure: a DFT-relaxed cell (PBE, the Materials Project)

Most intense lines, 5 to 70 degrees two-theta, sorted by position:
2θ/deg  Rel. int.
29.27  100
29.64  55
29.79  49
34.06  42
34.45  28
49.05  16
49.24  29
49.52  15
57.83  16
58.65  23

```
19
Lattice="6.3779 0.0000 0.0000 -1.0826 6.3003 0.0000 -0.9748 -1.2636 6.2870" Properties=species:S:1:pos:R:3 pbc="T T T"
Er 0.2454 1.7258 0.8610
Er -0.0885 4.9366 2.4559
Er 4.4091 0.1001 3.8311
Er 4.0752 3.3109 5.4260
Zr 1.1699 1.6195 4.2700
Zr 3.1890 0.0000 0.0000
Zr 3.1508 3.4173 2.0169
O -0.7123 1.6270 5.1594
O -0.0413 0.6166 2.7459
O 0.1080 5.7756 0.3710
O 1.0525 3.0559 2.6928
O 1.9310 -0.3822 4.3320
O 2.5047 1.9034 0.6372
O 1.8159 3.1333 5.6497
O 2.3896 5.4189 1.9550
O 3.2682 1.9808 3.5942
O 4.2126 -0.7389 5.9160
O 4.3619 4.4201 3.5411
O 5.0329 3.4098 1.1275
```

***

Record 2
Theoretical X-ray powder pattern
Compound: Er2Zr2O7
Radiation: Cu Kα X-rays
Structure: a DFT-relaxed cell (PBE, the Materials Project)

Most intense lines, 5 to 70 degrees two-theta, sorted by position:
2θ/deg  Rel. int.
14.55  9
28.07  4
29.35  100
34.02  32
37.18  7
44.67  3
48.87  49
51.27  3
58.04  43
60.88  9

```
22
Lattice="0.0000 5.2709 5.2709 5.2709 0.0000 5.2709 5.2709 5.2709 0.0000" Properties=species:S:1:pos:R:3 pbc="T T T"
Er 0.0000 0.0000 0.0000
Er 2.6354 2.6354 0.0000
Er 2.6354 0.0000 2.6354
Er 0.0000 2.6354 2.6354
Zr 5.2709 2.6354 2.6354
Zr 2.6354 5.2709 2.6354
Zr 2.6354 2.6354 5.2709
Zr 5.2709 5.2709 5.2709
O 1.3177 1.3177 1.3177
O 3.9532 3.9532 1.6581
O 3.9532 1.6581 3.9532
O 6.2482 3.9532 3.9532
O 6.5886 6.5886 4.2936
O 6.5886 4.2936 6.5886
O 8.8836 6.5886 6.5886
O 1.6581 3.9532 3.9532
O 3.9532 6.2482 3.9532
O 3.9532 3.9532 6.2482
O 4.2936 6.5886 6.5886
O 6.5886 8.8836 6.5886
O 6.5886 6.5886 8.8836
O 9.2240 9.2240 9.2240
```

***

Record 3
Theoretical X-ray powder pattern
Compound: Er2Zr2O7
Radiation: Cu Kα X-rays
Structure: a DFT-relaxed cell (PBE, the Materials Project)

Most intense lines, 5 to 70 degrees two-theta, sorted by position:
2θ/deg  Rel. int.
16.02  56
24.37  40
24.73  100
28.15  44
31.15  23
32.31  33
33.27  22
34.08  43
47.39  30
55.69  25

```
11
Lattice="3.4687 -4.7475 0.0000 3.4687 4.7475 0.0000 -1.0150 0.0000 5.5212" Properties=species:S:1:pos:R:3 pbc="T T T"
Er 3.4687 2.9524 0.0000
Er 3.4687 -2.9524 0.0000
Zr 1.0783 0.0000 3.3331
Zr 4.8441 0.0000 2.1881
O 0.1233 0.0000 1.4719
O 1.0536 1.6660 4.4383
O 1.0536 -1.6660 4.4383
O 2.9612 0.0000 2.7606
O 4.8689 1.6660 1.0828
O 4.8689 -1.6660 1.0828
O 5.7992 0.0000 4.0492
```

***

Record 4
Theoretical X-ray powder pattern
Compound: Er2Zr2O7
Radiation: Cu Kα X-rays
Structure: a DFT-relaxed cell (PBE, the Materials Project)

Most intense lines, 5 to 70 degrees two-theta, sorted by position:
2θ/deg  Rel. int.
25.20  13
29.16  100
30.01  94
33.84  18
34.52  41
48.51  17
49.12  62
50.72  16
58.13  40
59.58  28

```
22
Lattice="7.5065 0.0000 0.0000 0.0000 3.5996 0.0000 0.0000 0.0000 10.5940" Properties=species:S:1:pos:R:3 pbc="T T T"
Er 0.0000 0.0000 0.0000
Er 1.8766 1.7998 2.9006
Er 3.7532 0.0000 0.0000
Er 5.6299 1.7998 7.6935
Zr 0.0000 0.0000 5.2970
Zr 1.8766 1.7998 7.9026
Zr 3.7532 0.0000 5.2970
Zr 5.6299 1.7998 2.6914
O 0.1322 1.7998 6.5691
O 0.3300 1.7998 1.3630
O 1.8766 0.0000 4.1004
O 1.8766 0.0000 6.7026
O 1.8766 0.0000 9.3368
O 3.4232 1.7998 1.3630
O 3.6210 1.7998 6.5691
O 3.8854 1.7998 4.0249
O 4.0833 1.7998 9.2311
O 5.6299 0.0000 1.2572
O 5.6299 0.0000 3.8914
O 5.6299 0.0000 6.4936
O 7.1764 1.7998 9.2311
O 7.3743 1.7998 4.0249
```

***

Record 5
Theoretical X-ray powder pattern
Compound: Er4Zr3O12
Radiation: Cu Kα X-rays
Structure: a DFT-relaxed cell (PBE, the Materials Project)

Most intense lines, 5 to 70 degrees two-theta, sorted by position:
2θ/deg  Rel. int.
29.34  46
29.56  100
29.67  49
34.13  22
34.28  40
48.91  14
49.19  13
49.36  42
58.28  21
58.64  23

```
38
Lattice="6.3922 0.0000 0.0000 -1.0409 6.3350 0.0000 -2.1093 -2.4071 12.4292" Properties=species:S:1:pos:R:3 pbc="T T T"
Er -0.2917 -0.1002 5.0118
Er -0.6234 0.8324 8.4609
Er 0.4726 2.0285 2.2465
Er -0.4121 2.1032 11.7573
Er 3.6540 1.8247 0.6719
Er 2.7693 1.8993 10.1827
Er 3.8653 3.0954 3.9683
Er 3.5336 4.0281 7.4175
Zr -1.3557 -1.2724 11.2678
Zr 0.6275 3.2461 5.5316
Zr 0.5521 4.5013 9.2916
Zr 2.6899 -0.5734 3.1376
Zr 2.6144 0.6817 6.8976
Zr 4.5976 5.2003 1.1614
O -2.4504 2.9369 11.9742
O -1.7184 0.6216 10.4541
O -1.2767 4.0752 5.7476
O -0.5865 1.9326 4.2488
O 0.6648 -0.2352 2.5498
O -0.3957 -1.3611 8.8491
O 1.5236 2.5113 0.3908
O 0.5242 1.4086 6.6428
O 1.3711 3.6676 3.5897
O 0.3718 2.4485 9.6717
O 0.7351 -1.6795 11.2704
O 1.9664 -0.3929 5.1157
O 1.2756 4.3208 7.3135
O 2.5068 5.6073 1.1588
O 2.8701 1.4794 2.7576
O 1.8709 0.2602 8.8395
O 2.7177 2.5193 5.7865
O 1.7183 1.4166 12.0384
O 3.6377 5.2890 3.5802
O 2.5772 4.1630 9.8794
O 3.8284 1.9953 8.1804
O 4.5187 -0.1473 6.6816
O 4.9604 3.3063 1.9751
O 5.6923 0.9909 0.4551
```

***

Record 6
Theoretical X-ray powder pattern
Compound: Er3Os
Radiation: Cu Kα X-rays
Structure: a DFT-relaxed cell (PBE, the Materials Project)

Most intense lines, 5 to 70 degrees two-theta, sorted by position:
2θ/deg  Rel. int.
29.98  46
31.50  67
32.76  100
33.17  70
34.70  77
35.42  82
38.82  51
39.62  48
49.91  42
60.77  42

```
16
Lattice="7.3290 0.0000 0.0000 0.0000 8.9895 0.0000 0.0000 0.0000 6.2372" Properties=species:S:1:pos:R:3 pbc="T T T"
Er 0.2676 2.2474 0.8157
Er 1.2934 0.5596 4.1625
Er 1.2934 3.9352 4.1625
Er 2.3711 5.0544 1.0439
Er 2.3711 8.4299 1.0439
Er 3.3969 6.7422 3.9343
Er 3.9321 2.2474 2.3029
Er 4.9579 0.5596 5.1933
Er 4.9579 3.9352 5.1933
Er 6.0356 5.0544 2.0747
Er 6.0356 8.4299 2.0747
Er 7.0614 6.7422 5.4215
Os 0.8615 6.7422 2.8491
Os 2.8030 2.2474 5.9676
Os 4.5260 6.7422 0.2695
Os 6.4675 2.2474 3.3881
```

***

Record 7
Theoretical X-ray powder pattern
Compound: Er2OsPd
Radiation: Cu Kα X-rays
Structure: a DFT-relaxed cell (PBE, the Materials Project)

Most intense lines, 5 to 70 degrees two-theta, sorted by position:
2θ/deg  Rel. int.
22.51  4
37.17  100
43.88  2
53.57  18
58.83  1
67.00  36

```
4
Lattice="0.0000 3.4212 3.4212 3.4212 0.0000 3.4212 3.4212 3.4212 0.0000" Properties=species:S:1:pos:R:3 pbc="T T T"
Er 1.7106 1.7106 1.7106
Er 5.1318 5.1318 5.1318
Os 0.0000 0.0000 0.0000
Pd 3.4212 3.4212 3.4212
```

***

Record 8
Theoretical X-ray powder pattern
Compound: Er3Si13Os4
Radiation: Cu Kα X-rays
Structure: a DFT-relaxed cell (PBE, the Materials Project)

Most intense lines, 5 to 70 degrees two-theta, sorted by position:
2θ/deg  Rel. int.
20.18  69
22.59  57
28.69  47
35.33  100
36.83  50
41.03  67
46.13  36
50.83  40
56.30  20
59.42  34

```
40
Lattice="8.7997 0.0000 0.0000 0.0000 8.7997 0.0000 0.0000 0.0000 8.7997" Properties=species:S:1:pos:R:3 pbc="T T T"
Er 0.0000 2.1999 4.3998
Er 0.0000 6.5997 4.3998
Er 2.1999 4.3998 0.0000
Er 4.3998 0.0000 2.1999
Er 4.3998 0.0000 6.5997
Er 6.5997 4.3998 0.0000
Si 0.0000 0.0000 0.0000
Si 0.0000 2.4803 1.2070
Si 0.0000 2.4803 7.5927
Si 0.0000 6.3194 1.2070
Si 0.0000 6.3194 7.5927
Si 1.2070 0.0000 2.4803
Si 1.2070 0.0000 6.3194
Si 1.9195 4.3998 3.1929
Si 1.9195 4.3998 5.6068
Si 2.4803 1.2070 0.0000
Si 2.4803 7.5927 0.0000
Si 3.1929 1.9195 4.3998
Si 3.1929 6.8801 4.3998
Si 4.3998 3.1929 1.9195
Si 4.3998 3.1929 6.8801
Si 4.3998 4.3998 4.3998
Si 4.3998 5.6068 1.9195
Si 4.3998 5.6068 6.8801
Si 5.6068 1.9195 4.3998
Si 5.6068 6.8801 4.3998
Si 6.3194 1.2070 0.0000
Si 6.3194 7.5927 0.0000
Si 6.8801 4.3998 3.1929
Si 6.8801 4.3998 5.6068
Si 7.5927 0.0000 2.4803
Si 7.5927 0.0000 6.3194
Os 2.1999 2.1999 2.1999
Os 2.1999 2.1999 6.5997
Os 2.1999 6.5997 2.1999
Os 2.1999 6.5997 6.5997
Os 6.5997 2.1999 2.1999
Os 6.5997 2.1999 6.5997
Os 6.5997 6.5997 2.1999
Os 6.5997 6.5997 6.5997
```

***

Record 9
Theoretical X-ray powder pattern
Compound: ErTaOs2
Radiation: Cu Kα X-rays
Structure: a DFT-relaxed cell (PBE, the Materials Project)

Most intense lines, 5 to 70 degrees two-theta, sorted by position:
2θ/deg  Rel. int.
38.94  100
56.24  17

```
4
Lattice="0.0000 3.2713 3.2713 3.2713 0.0000 3.2713 3.2713 3.2713 0.0000" Properties=species:S:1:pos:R:3 pbc="T T T"
Er 0.0000 0.0000 0.0000
Ta 3.2713 3.2713 3.2713
Os 1.6356 1.6356 1.6356
Os 4.9069 4.9069 4.9069
```

***

Record 10
Theoretical X-ray powder pattern
Compound: Er3P
Radiation: Cu Kα X-rays
Structure: a DFT-relaxed cell (PBE, the Materials Project)

Most intense lines, 5 to 70 degrees two-theta, sorted by position:
2θ/deg  Rel. int.
17.52  8
22.15  19
33.56  7
33.99  100
35.48  22
41.32  29
47.37  5
55.57  25
59.86  10
62.75  17

```
4
Lattice="-2.1853 2.1853 5.0609 2.1853 -2.1853 5.0609 2.1853 2.1853 -5.0609" Properties=species:S:1:pos:R:3 pbc="T T T"
Er 0.0000 0.0000 0.0000
Er 2.1853 0.0000 2.5304
Er 0.0000 2.1853 2.5304
P 0.0000 0.0000 5.0609
```

***

Record 11
Theoretical X-ray powder pattern
Compound: Er3P4Pd7
Radiation: Cu Kα X-rays
Structure: a DFT-relaxed cell (PBE, the Materials Project)

Most intense lines, 5 to 70 degrees two-theta, sorted by position:
2θ/deg  Rel. int.
31.03  21
35.22  23
36.15  100
36.58  48
37.06  69
37.52  21
38.44  30
39.80  25
43.44  34
45.45  45

```
14
Lattice="7.6675 -1.9956 0.0000 7.6675 1.9956 0.0000 -5.4324 0.0000 7.6406" Properties=species:S:1:pos:R:3 pbc="T T T"
Er 0.0000 0.0000 0.0000
Er 3.1505 0.0000 2.4698
Er 6.7522 0.0000 5.1708
P -2.8254 0.0000 6.2667
P 1.1643 0.0000 5.7106
P 8.7384 0.0000 1.9299
P 12.7281 0.0000 1.3739
Pd -2.7162 0.0000 3.8203
Pd 0.2883 0.0000 3.2148
Pd -0.5889 0.0000 7.4099
Pd 3.6257 0.0000 5.4734
Pd 6.2770 0.0000 2.1672
Pd 10.4916 0.0000 0.2306
Pd 9.6144 0.0000 4.4257
```